[1]
Computed XRD peak list of MgNiWS4 for Cu Kα (weighted mean of Kα1 and Kα2), from a crystal structure in Alexandria, relaxed with GGA-PBE.
Peak positions follow from Bragg's law for the DFT cell and can differ from measured ones.

The 10 most intense peaks (10 to 80 degrees two-theta), sorted by position:
d (Å)  2θ/deg  Rel. int.
5.964  14.85  100
5.732  15.46  18
5.293  16.75  15
3.612  24.65  16
3.170  28.15  22
2.960  30.20  36
2.647  33.87  25
2.478  36.25  36
1.933  47.02  13
1.809  50.45  34

Cell and atoms:
```
MgNiWS4
1.0
6.406 -3.409 0.000
6.406 3.409 0.000
-4.065 0.000 5.964
Mg Ni W S
2 2 2 8
Direct
0.000 0.000 0.000
0.235 0.235 0.736
0.637 0.637 0.900
0.638 0.638 0.375
0.172 0.587 0.380
0.587 0.172 0.380
0.400 0.400 0.661
0.401 0.401 0.140
0.404 0.819 0.611
0.425 0.884 0.154
0.819 0.404 0.611
0.876 0.876 0.592
0.877 0.877 0.162
0.884 0.425 0.154
```

---

[2]
Computed XRD peak list of AcSb3 for Cu Kα (weighted mean of Kα1 and Kα2), from a crystal structure in Alexandria, relaxed with GGA-PBE.
Peak positions follow from Bragg's law for the DFT cell and can differ from measured ones.

The 10 most intense peaks (10 to 80 degrees two-theta), sorted by position:
d (Å)  2θ/deg  Rel. int.
2.847  31.42  100
2.588  34.67  19
2.415  37.24  16
2.408  37.35  16
1.764  51.83  25
1.705  53.76  11
1.539  60.11  16
1.464  63.53  13
1.461  63.68  13
1.424  65.57  12

Cell and atoms:
```
AcSb3
1.0
4.815 0.000 0.000
0.000 4.830 0.000
0.000 0.000 5.175
Ac Sb
1 3
Direct
0.000 0.000 0.000
0.000 0.500 0.500
0.500 0.000 0.500
0.500 0.500 0.000
```

---

[3]
Computed XRD peak list of CrSi2Sb for Cu Kα (weighted mean of Kα1 and Kα2), from a crystal structure in Alexandria, relaxed with GGA-PBE.
Peak positions follow from Bragg's law for the DFT cell and can differ from measured ones.

The 10 most intense peaks (10 to 80 degrees two-theta), sorted by position:
d (Å)  2θ/deg  Rel. int.
7.494  11.81  99
3.747  23.74  20
2.840  31.50  78
2.498  35.95  19
2.374  37.89  100
2.170  41.61  62
1.937  46.89  42
1.638  56.14  20
1.535  60.31  20
1.289  73.47  26

Cell and atoms:
```
CrSi2Sb
1.0
3.069 0.000 0.000
0.000 3.069 0.000
0.000 0.000 7.494
Cr Si Sb
1 2 1
Direct
0.000 0.000 0.000
0.000 0.000 0.659
0.500 0.500 0.850
0.500 0.500 0.253
```

---

[4]
Computed XRD peak list of HgF4 for Cu Kα (weighted mean of Kα1 and Kα2), from a crystal structure in Alexandria, relaxed with GGA-PBE.
Peak positions follow from Bragg's law for the DFT cell and can differ from measured ones.

The 10 most intense peaks (10 to 80 degrees two-theta), sorted by position:
d (Å)  2θ/deg  Rel. int.
4.647  19.10  100
3.780  23.54  57
2.988  29.91  30
2.879  31.06  31
2.596  34.55  44
2.317  38.87  15
2.027  44.71  10
1.927  47.15  10
1.877  48.50  32
1.836  49.66  16

Cell and atoms:
```
HgF4
1.0
0.000 5.517 2.945
5.189 0.000 2.945
5.189 5.517 0.000
Hg F
2 8
Direct
0.000 0.000 0.000
0.250 0.250 0.250
0.108 0.361 0.639
0.140 0.891 0.613
0.358 0.611 0.889
0.361 0.108 0.892
0.611 0.358 0.142
0.637 0.894 0.110
0.891 0.140 0.356
0.894 0.637 0.359
```

---

[5]
Computed XRD peak list of Ta14Rh for Cu Kα (weighted mean of Kα1 and Kα2), from a crystal structure in Alexandria, relaxed with GGA-PBE.
Peak positions follow from Bragg's law for the DFT cell and can differ from measured ones.

The 10 most intense peaks (10 to 80 degrees two-theta), sorted by position:
d (Å)  2θ/deg  Rel. int.
2.668  33.58  21
2.462  36.50  89
2.392  37.60  35
2.362  38.10  32
2.300  39.16  76
2.235  40.35  100
2.183  41.36  55
1.458  63.85  21
1.442  64.64  25
1.428  65.34  28

Cell and atoms:
```
Ta14Rh
1.0
10.150 0.000 0.000
0.000 10.150 0.000
0.000 0.000 5.337
Ta Rh
28 2
Direct
0.036 0.370 0.000
0.066 0.257 0.500
0.102 0.102 0.000
0.130 0.536 0.500
0.183 0.817 0.247
0.183 0.817 0.753
0.243 0.566 0.000
0.257 0.066 0.500
0.317 0.317 0.253
0.317 0.317 0.747
0.370 0.036 0.000
0.398 0.602 0.500
0.434 0.757 0.000
0.464 0.870 0.500
0.536 0.130 0.500
0.566 0.243 0.000
0.602 0.398 0.500
0.630 0.964 0.000
0.683 0.683 0.253
0.683 0.683 0.747
0.743 0.934 0.500
0.757 0.434 0.000
0.817 0.183 0.247
0.817 0.183 0.753
0.870 0.464 0.500
0.898 0.898 0.000
0.934 0.743 0.500
0.964 0.630 0.000
0.000 0.000 0.500
0.500 0.500 0.000
```

---

[6]
Computed XRD peak list of CeY6Tm10 for Cu Kα (weighted mean of Kα1 and Kα2), from a crystal structure in Alexandria, relaxed with GGA-PBE.
Peak positions follow from Bragg's law for the DFT cell and can differ from measured ones.

The 10 most intense peaks (10 to 80 degrees two-theta), sorted by position:
d (Å)  2θ/deg  Rel. int.
3.907  22.76  8
3.132  28.49  9
2.843  31.47  26
2.762  32.41  100
1.953  46.49  15
1.831  49.81  9
1.595  57.82  22
1.526  60.69  9
1.454  64.05  8
1.235  77.22  7

Cell and atoms:
```
CeY6Tm10
1.0
9.571 0.000 0.000
-4.786 8.289 0.000
0.000 0.000 6.764
Ce Y Tm
1 6 10
Direct
0.000 0.000 0.000
0.000 0.377 0.197
0.000 0.623 0.803
0.377 0.000 0.197
0.377 0.377 0.803
0.623 0.000 0.803
0.623 0.623 0.197
0.000 0.274 0.680
0.000 0.726 0.320
0.274 0.000 0.680
0.274 0.274 0.320
0.333 0.667 0.000
0.333 0.667 0.500
0.667 0.333 0.000
0.667 0.333 0.500
0.726 0.000 0.320
0.726 0.726 0.680
```

---

[7]
Computed XRD peak list of Th2P2O9 for Cu Kα (weighted mean of Kα1 and Kα2), from a crystal structure in Alexandria, relaxed with GGA-PBE.
Peak positions follow from Bragg's law for the DFT cell and can differ from measured ones.

The 10 most intense peaks (10 to 80 degrees two-theta), sorted by position:
d (Å)  2θ/deg  Rel. int.
6.494  13.64  62
4.644  19.11  55
4.373  20.31  26
4.293  20.69  100
3.631  24.52  67
3.168  28.17  35
2.824  31.69  72
2.203  40.96  30
1.900  47.89  33
1.783  51.24  36

Cell and atoms:
```
Th2P2O9
1.0
3.631 -4.644 0.000
3.631 4.644 0.000
0.000 0.000 12.988
Th P O
4 4 18
Direct
0.207 0.793 0.928
0.293 0.707 0.428
0.707 0.293 0.572
0.793 0.207 0.072
0.111 0.889 0.641
0.389 0.611 0.141
0.611 0.389 0.859
0.889 0.111 0.359
0.000 0.000 0.000
0.015 0.650 0.584
0.053 0.947 0.375
0.147 0.853 0.756
0.150 0.515 0.084
0.350 0.985 0.584
0.353 0.647 0.256
0.447 0.553 0.875
0.485 0.850 0.084
0.500 0.500 0.500
0.515 0.150 0.916
0.553 0.447 0.125
0.647 0.353 0.744
0.650 0.015 0.416
0.850 0.485 0.916
0.853 0.147 0.244
0.947 0.053 0.625
0.985 0.350 0.416
```

---

[8]
Computed XRD peak list of UGePd2 for Cu Kα (weighted mean of Kα1 and Kα2), from a crystal structure in Alexandria, relaxed with GGA-PBE.
Peak positions follow from Bragg's law for the DFT cell and can differ from measured ones.

The 10 most intense peaks (10 to 80 degrees two-theta), sorted by position:
d (Å)  2θ/deg  Rel. int.
3.490  25.52  33
3.022  29.56  29
2.992  29.86  39
2.647  33.87  25
2.578  34.80  25
2.541  35.33  32
2.462  36.50  100
2.228  40.49  73
2.213  40.78  59
2.203  40.96  57

Cell and atoms:
```
UGePd2
1.0
5.676 0.000 0.000
0.000 4.425 0.000
-0.111 0.000 5.925
U Ge Pd
2 2 4
Direct
0.232 0.250 0.107
0.768 0.750 0.893
0.262 0.750 0.732
0.738 0.250 0.268
0.010 0.250 0.643
0.490 0.750 0.345
0.510 0.250 0.655
0.990 0.750 0.357
```

---

[9]
Computed XRD peak list of CsRbHfSe3 for Cu Kα (weighted mean of Kα1 and Kα2), from a crystal structure in Alexandria, relaxed with GGA-PBE.
Peak positions follow from Bragg's law for the DFT cell and can differ from measured ones.

The 10 most intense peaks (10 to 80 degrees two-theta), sorted by position:
d (Å)  2θ/deg  Rel. int.
8.032  11.02  29
7.097  12.47  74
3.981  22.33  27
3.956  22.48  39
3.559  25.02  100
3.521  25.29  26
2.976  30.03  83
2.390  37.64  37
2.382  37.76  35
2.190  41.22  27

Cell and atoms:
```
CsRbHfSe3
1.0
4.055 -8.032 0.000
4.055 8.032 0.000
-1.590 0.000 7.042
Cs Rb Hf Se
2 2 2 6
Direct
0.240 0.760 0.750
0.760 0.240 0.250
0.409 0.591 0.250
0.591 0.409 0.750
0.046 0.954 0.250
0.954 0.046 0.750
0.169 0.249 0.503
0.202 0.798 0.250
0.249 0.169 0.003
0.751 0.831 0.997
0.798 0.202 0.750
0.831 0.751 0.497
```

---

[10]
Computed XRD peak list of TlCu2PS4 for Cu Kα (weighted mean of Kα1 and Kα2), from a crystal structure in Alexandria, relaxed with GGA-PBE.
Peak positions follow from Bragg's law for the DFT cell and can differ from measured ones.

The 10 most intense peaks (10 to 80 degrees two-theta), sorted by position:
d (Å)  2θ/deg  Rel. int.
4.855  18.27  73
4.690  18.92  20
3.776  23.56  43
3.108  28.72  100
2.980  29.98  72
2.598  34.52  47
2.345  38.38  44
2.025  44.75  29
1.898  47.93  25
1.581  58.37  23

Cell and atoms:
```
TlCu2PS4
1.0
5.985 0.000 0.000
0.000 7.552 0.000
0.000 0.000 8.302
Tl Cu P S
2 4 2 8
Direct
0.000 0.000 0.000
0.500 0.500 0.500
0.000 0.500 0.159
0.000 0.500 0.841
0.500 0.000 0.341
0.500 0.000 0.659
0.000 0.000 0.500
0.500 0.500 0.000
0.198 0.161 0.355
0.198 0.839 0.645
0.302 0.339 0.855
0.302 0.661 0.145
0.698 0.339 0.145
0.698 0.661 0.855
0.802 0.161 0.645
0.802 0.839 0.355
```

---

[11]
Computed XRD peak list of RbNa12Hg6 for Cu Kα (weighted mean of Kα1 and Kα2), from a crystal structure in Alexandria, relaxed with GGA-PBE.
Peak positions follow from Bragg's law for the DFT cell and can differ from measured ones.

The 10 most intense peaks (10 to 80 degrees two-theta), sorted by position:
d (Å)  2θ/deg  Rel. int.
7.076  12.51  36
5.059  17.53  27
4.275  20.78  39
4.116  21.59  100
3.558  25.03  36
3.538  25.17  89
2.683  33.40  43
2.530  35.49  52
2.138  42.28  30
1.734  52.79  25

Cell and atoms:
```
RbNa12Hg6
1.0
7.076 4.085 3.703
-7.076 4.085 3.703
0.000 -8.171 3.703
Rb Na Hg
1 12 6
Direct
0.000 0.000 0.000
0.119 0.500 0.881
0.119 0.881 0.500
0.166 0.436 0.436
0.436 0.166 0.436
0.436 0.436 0.166
0.500 0.119 0.881
0.500 0.881 0.119
0.564 0.564 0.834
0.564 0.834 0.564
0.834 0.564 0.564
0.881 0.119 0.500
0.881 0.500 0.119
0.252 0.252 0.705
0.252 0.705 0.252
0.295 0.748 0.748
0.705 0.252 0.252
0.748 0.295 0.748
0.748 0.748 0.295
```

---

[12]
Computed XRD peak list of PmPr2Ni9 for Cu Kα (weighted mean of Kα1 and Kα2), from a crystal structure in Alexandria, relaxed with GGA-PBE.
Peak positions follow from Bragg's law for the DFT cell and can differ from measured ones.

The 10 most intense peaks (10 to 80 degrees two-theta), sorted by position:
d (Å)  2θ/deg  Rel. int.
2.759  32.45  43
2.536  35.40  39
2.520  35.62  47
2.174  41.53  36
2.154  41.94  100
1.999  45.36  15
1.497  61.99  13
1.458  63.84  14
1.373  68.30  20
1.260  75.43  20

Cell and atoms:
```
PmPr2Ni9
1.0
2.520 1.455 8.306
-2.520 1.455 8.306
0.000 -2.910 8.306
Pm Pr Ni
1 2 9
Direct
0.000 0.000 0.000
0.138 0.138 0.138
0.862 0.862 0.862
0.081 0.579 0.579
0.333 0.333 0.333
0.421 0.421 0.919
0.421 0.919 0.421
0.500 0.500 0.500
0.579 0.081 0.579
0.579 0.579 0.081
0.667 0.667 0.667
0.919 0.421 0.421
```